# Ce4BiSb5
Theoretical powder XRD pattern, Cu Kα, 1.54184 Å. Input: a DFT-relaxed cell (PBE, Alexandria).
Kinematic intensities with the Lorentz-polarization factor, no thermal factor.

Structure:
```
Ce4BiSb5
1.0
-2.2603 2.2603 15.9942
2.2603 -2.2603 15.9942
2.2603 2.2603 -15.9942
Ce Bi Sb
4 1 5
direct
0.1001 0.1001 0.0000
0.2994 0.2994 0.0000
0.7006 0.7006 0.0000
0.8999 0.8999 0.0000
0.5000 0.5000 0.0000
0.0000 0.0000 0.0000
0.2000 0.2000 0.0000
0.3992 0.3992 0.0000
0.6008 0.6008 0.0000
0.8000 0.8000 0.0000
```

Top 6 peaks for 10° ≤ 2θ ≤ 80°, low angle first:
d (Å), 2theta, I (rel.)
3.197, 27.9, 100.0
2.261, 39.9, 76.9
1.846, 49.4, 27.8
1.599, 57.7, 13.0
1.430, 65.3, 35.7
1.305, 72.4, 26.3

---

# Cd3OsO6
Theoretical powder XRD pattern, Cu Kα, 1.54184 Å. Input: a DFT-relaxed cell (PBE, Alexandria).
Kinematic intensities with the Lorentz-polarization factor, no thermal factor.

Structure:
```
Cd3OsO6
1.0
4.6411 2.6796 3.7668
-4.6411 2.6796 3.7668
0.0000 -5.3591 3.7668
Cd Os O
6 2 12
direct
0.0453 0.7512 0.5597
0.2488 0.4403 0.9547
0.4403 0.9547 0.2488
0.5597 0.0453 0.7512
0.7512 0.5597 0.0453
0.9547 0.2488 0.4403
0.0000 0.0000 0.0000
0.5000 0.5000 0.5000
0.0511 0.7175 0.9125
0.0875 0.9489 0.2825
0.2190 0.4381 0.5613
0.2825 0.0875 0.9489
0.4381 0.5613 0.2190
0.4387 0.7810 0.5619
0.5613 0.2190 0.4381
0.5619 0.4387 0.7810
0.7175 0.9125 0.0511
0.7810 0.5619 0.4387
0.9125 0.0511 0.7175
0.9489 0.2825 0.0875
```

Top 6 peaks for 10° ≤ 2θ ≤ 80°, low angle first:
d (Å), 2theta, I (rel.)
4.631, 19.2, 35.1
3.275, 27.2, 54.4
2.934, 30.5, 63.8
2.925, 30.6, 34.5
2.677, 33.5, 100.0
1.754, 52.1, 42.7